Diffraction record for LiFeP2HO7. The powder diffraction line list is theoretical, not measured: it uses a cell relaxed with GGA+U and copper Kα.

Principal peaks in the range 2θ from 10° to 80°, by angle:
index  2θ (°)  I/Imax
1 0 0  15.89  17
0 1 1  18.05  89
1 1 1  19.46  56
1 1 -1  21.78  18
0 0 2  23.02  100
1 -1 0  24.60  18
0 1 -2  27.00  49
0 2 0  28.04  91
2 1 1  30.85  48
2 0 2  37.23  23

Crystal structure
```
data_LiFeP2HO7
_chemical_formula_sum 'Li2 Fe2 P4 H2 O14'
_space_group_name_H-M_alt 'P -1'
_space_group_IT_number 2
_space_group_name_Hall '-P 1'
_cell_length_a 6.002
_cell_length_b 6.793
_cell_length_c 7.801
_cell_angle_alpha 87.19
_cell_angle_beta 82.13
_cell_angle_gamma 69.55
loop_
_atom_site_label
_atom_site_fract_x
_atom_site_fract_y
_atom_site_fract_z
Li1 0.073 0.349 0.119
Fe1 0.245 0.700 0.257
P1 0.247 0.231 0.706
P2 0.395 0.790 0.845
H1 0.299 0.581 0.690
O1 0.070 0.230 0.581
O2 0.100 0.327 0.877
O3 0.210 0.717 0.759
O4 0.301 0.852 0.031
O5 0.359 0.379 0.189
O6 0.417 0.989 0.737
O7 0.432 0.336 0.638
```